[1]
This entry pairs a crystal structure of PaBiAu2 with its computed powder X-ray diffraction pattern. Radiation: CuKα. Structure: DFT lattice parameters and positions (GGA-PBE).
Lines closer than 0.1° are merged.

Cell and atoms:
```
PaBiAu2
1.0
7.222 0.000 0.000
0.000 7.222 0.000
0.000 0.000 7.222
Pa Bi Au
4 4 8
direct
0.000 0.000 0.000
0.000 0.500 0.500
0.500 0.000 0.500
0.500 0.500 0.000
0.000 0.000 0.500
0.000 0.500 0.000
0.500 0.000 0.000
0.500 0.500 0.500
0.250 0.250 0.250
0.250 0.250 0.750
0.250 0.750 0.250
0.250 0.750 0.750
0.750 0.250 0.250
0.750 0.250 0.750
0.750 0.750 0.250
0.750 0.750 0.750
```

Peak list (5 most intense, 2θ = 10–90°, low angle first)
| d_spacing | I_rel |
| --- | --- |
| 2.553 | 100 |
| 1.806 | 18 |
| 1.474 | 38 |
| 1.277 | 12 |
| 1.142 | 17 |

***

[2]
This entry pairs a crystal structure of Ti2RuRh with its computed powder X-ray diffraction pattern. Radiation: CuKα. Structure: DFT lattice parameters and positions (GGA-PBE).
Lines closer than 0.1° are merged.

Cell and atoms:
```
Ti2RuRh
1.0
6.196 0.000 0.000
0.000 6.196 0.000
0.000 0.000 6.196
Ti Ru Rh
8 4 4
direct
0.250 0.250 0.250
0.250 0.250 0.750
0.250 0.750 0.250
0.250 0.750 0.750
0.750 0.250 0.250
0.750 0.250 0.750
0.750 0.750 0.250
0.750 0.750 0.750
0.000 0.000 0.000
0.000 0.500 0.500
0.500 0.000 0.500
0.500 0.500 0.000
0.000 0.000 0.500
0.000 0.500 0.000
0.500 0.000 0.000
0.500 0.500 0.500
```

Peak list (6 most intense, 2θ = 10–90°, low angle first)
| d_spacing | I_rel |
| --- | --- |
| 3.098 | 19 |
| 2.191 | 100 |
| 1.549 | 16 |
| 1.386 | 7 |
| 1.265 | 31 |
| 1.095 | 10 |

***

[3]
This entry pairs a crystal structure of Rb8C4O7 with its computed powder X-ray diffraction pattern. Radiation: CuKα. Structure: DFT lattice parameters and positions (GGA-PBE).
Lines closer than 0.1° are merged.

Cell and atoms:
```
Rb8C4O7
1.0
5.998 0.000 0.000
0.000 15.103 0.000
-2.510 0.000 5.482
Rb C O
8 4 7
direct
0.000 0.000 0.000
0.050 0.500 0.932
0.328 0.238 0.683
0.328 0.762 0.683
0.646 0.373 0.250
0.646 0.627 0.250
0.648 0.132 0.347
0.648 0.868 0.347
0.026 0.257 0.061
0.026 0.743 0.061
0.437 0.000 0.685
0.458 0.500 0.751
0.015 0.360 0.651
0.015 0.640 0.651
0.256 0.241 0.147
0.256 0.759 0.147
0.439 0.500 0.552
0.865 0.200 0.049
0.865 0.800 0.049
```

Peak list (6 most intense, 2θ = 10–90°, low angle first)
| d_spacing | I_rel |
| --- | --- |
| 4.427 | 28 |
| 3.249 | 47 |
| 3.107 | 100 |
| 3.026 | 43 |
| 3.001 | 31 |
| 2.987 | 28 |

***

[4]
This entry pairs a crystal structure of HoAlPd with its computed powder X-ray diffraction pattern. Radiation: CuKα. Structure: DFT lattice parameters and positions (GGA-PBE).
Lines closer than 0.1° are merged.

Cell and atoms:
```
HoAlPd
1.0
6.878 0.000 0.000
0.000 4.473 0.000
0.000 0.000 7.743
Ho Al Pd
4 4 4
direct
0.033 0.250 0.180
0.467 0.750 0.680
0.533 0.250 0.320
0.967 0.750 0.820
0.146 0.250 0.562
0.354 0.750 0.062
0.646 0.250 0.938
0.854 0.750 0.438
0.227 0.750 0.383
0.273 0.250 0.883
0.727 0.750 0.117
0.773 0.250 0.617
```

Peak list (6 most intense, 2θ = 10–90°, low angle first)
| d_spacing | I_rel |
| --- | --- |
| 3.872 | 20 |
| 3.374 | 32 |
| 2.693 | 52 |
| 2.571 | 100 |
| 2.416 | 19 |
| 2.236 | 46 |

***

[5]
This entry pairs a crystal structure of Sm2S2F with its computed powder X-ray diffraction pattern. Radiation: CuKα. Structure: DFT lattice parameters and positions (GGA-PBE).
Lines closer than 0.1° are merged.

Cell and atoms:
```
Sm2S2F
1.0
3.714 0.000 0.000
0.000 3.714 0.000
0.000 0.000 11.465
Sm S F
2 2 1
direct
0.000 0.000 0.194
0.000 0.000 0.806
0.000 0.000 0.414
0.000 0.000 0.586
0.000 0.000 0.000
```

Peak list (6 most intense, 2θ = 10–90°, low angle first)
| d_spacing | I_rel |
| --- | --- |
| 5.732 | 27 |
| 3.714 | 100 |
| 3.117 | 26 |
| 2.663 | 31 |
| 2.626 | 39 |
| 1.951 | 30 |